Simulated powder diffraction line list
Compound: CdFePb2O4
Radiation: copper Kα
Structure: the PBE+U geometry in Alexandria

a b c (Å): 7.024 7.109 9.671
angles (deg): 90.00 90.00 90.00
Space group Imma (No. 74)
One atom of each set of equivalent atoms:
Cd1 0.250 0.250 0.250 (multiplicity 4)
Fe1 0.000 0.000 0.000 (multiplicity 4)
Pb1 0.000 0.000 0.500 (multiplicity 4)
Pb2 0.250 0.250 0.750 (multiplicity 4)
O1 0.000 0.014 0.221 (multiplicity 8)
O2 0.228 0.250 0.010 (multiplicity 8)

Top 10 peaks for 10 to 90 degrees two-theta, by angle:
2theta, d (Å), I_rel, hkl
15.6, 5.683, 29, 1 0 1
31.2, 2.864, 92, 0 2 2
31.5, 2.842, 91, 2 0 2
35.9, 2.498, 100, 2 2 0
37.2, 2.418, 44, 0 0 4
51.4, 1.777, 18, 0 4 0
52.1, 1.756, 17, 4 0 0
52.7, 1.737, 63, 2 2 4
61.5, 1.507, 30, 2 4 2
62.0, 1.497, 29, 4 2 2